For La2Ti3VO10, a crystal structure in the Materials Project, relaxed with GGA+U gives the simulated powder XRD pattern in this record (Cu Ka).
Kinematic intensities with the Lorentz-polarization factor, no thermal factor.

Principal peaks in the range 10° ≤ 2θ ≤ 80°, by angle:
2theta	I (rel.)
28.6	100
32.4	43
33.2	92
38.7	24
46.5	53
55.5	30
58.4	29
64.2	24

Crystal structure
a = 13.323 Å, b = 13.323 Å, c = 13.323 Å
α = 163.16°, β = 163.16°, γ = 23.91°
Fractional positions:
La 0.082 0.082 0.000
La 0.918 0.918 0.000
Ti 0.342 0.342 0.000
Ti 0.500 0.500 0.000
Ti 0.658 0.658 0.000
V 0.750 0.250 0.500
O 0.000 0.500 0.500
O 0.143 0.643 0.500
O 0.271 0.271 0.000
O 0.357 0.857 0.500
O 0.426 0.426 0.000
O 0.500 0.000 0.500
O 0.574 0.574 0.000
O 0.645 0.145 0.500
O 0.729 0.729 0.000
O 0.855 0.355 0.500

---

For Sc2W3O12, a crystal structure in the Materials Project, relaxed with GGA+U gives the simulated powder XRD pattern in this record (Cu Ka).
Kinematic intensities with the Lorentz-polarization factor, no thermal factor.

Principal peaks in the range 10° ≤ 2θ ≤ 80°, by angle:
2theta	I (rel.)
18.2	100
23.3	89
23.9	51
29.6	83
29.9	81
35.6	32
40.4	38
52.5	36

Crystal structure
a = 6.974 Å, b = 5.807 Å, c = 11.046 Å
α = 90.00°, β = 106.00°, γ = 90.00°
Fractional positions:
Sc 0.180 0.162 0.093
Sc 0.180 0.838 0.593
Sc 0.820 0.162 0.407
Sc 0.820 0.838 0.907
W 0.000 0.322 0.750
W 0.000 0.678 0.250
W 0.338 0.332 0.424
W 0.338 0.668 0.924
W 0.662 0.332 0.076
W 0.662 0.668 0.576
O 0.144 0.383 0.928
O 0.144 0.617 0.428
O 0.145 0.130 0.455
O 0.145 0.870 0.955
O 0.168 0.118 0.709
O 0.168 0.882 0.209
O 0.192 0.392 0.243
O 0.192 0.608 0.743
O 0.468 0.401 0.592
O 0.468 0.599 0.092
O 0.481 0.134 0.111
O 0.481 0.866 0.611
O 0.519 0.134 0.389
O 0.519 0.866 0.889
O 0.532 0.401 0.908
O 0.532 0.599 0.408
O 0.808 0.392 0.257
O 0.808 0.608 0.757
O 0.832 0.118 0.791
O 0.832 0.882 0.291
O 0.855 0.130 0.045
O 0.855 0.870 0.545
O 0.856 0.383 0.572
O 0.856 0.617 0.072

---

For BaSrMn2O6, a crystal structure in the Materials Project, relaxed with GGA+U gives the simulated powder XRD pattern in this record (Cu Ka).
Kinematic intensities with the Lorentz-polarization factor, no thermal factor.

Principal peaks in the range 10° ≤ 2θ ≤ 80°, by angle:
2theta	I (rel.)
26.5	75
31.7	100
34.3	36
41.8	57
47.4	27
53.4	18
56.5	19
66.2	20

Crystal structure
a = 5.646 Å, b = 5.646 Å, c = 9.276 Å
α = 90.00°, β = 90.00°, γ = 120.00°
Fractional positions:
Ba 0.000 0.000 0.000
Ba 0.000 0.000 0.500
Sr 0.333 0.667 0.250
Sr 0.667 0.333 0.750
Mn 0.333 0.667 0.612
Mn 0.333 0.667 0.888
Mn 0.667 0.333 0.112
Mn 0.667 0.333 0.388
O 0.000 0.500 0.000
O 0.000 0.500 0.500
O 0.185 0.370 0.750
O 0.185 0.815 0.750
O 0.370 0.185 0.250
O 0.500 0.000 0.000
O 0.500 0.000 0.500
O 0.500 0.500 0.000
O 0.500 0.500 0.500
O 0.630 0.815 0.750
O 0.815 0.185 0.250
O 0.815 0.630 0.250

---

For Li4Co3O7, a crystal structure in the Materials Project, relaxed with GGA+U gives the simulated powder XRD pattern in this record (Cu Ka).
Kinematic intensities with the Lorentz-polarization factor, no thermal factor.

Principal peaks in the range 10° ≤ 2θ ≤ 80°, by angle:
2theta	I (rel.)
18.5	100
36.4	26
36.7	11
44.0	54
44.5	25
57.8	10
64.0	14
64.7	13

Crystal structure
a = 5.093 Å, b = 5.093 Å, c = 17.236 Å
α = 95.28°, β = 95.28°, γ = 32.93°
Fractional positions:
Li 0.000 0.000 0.000
Li 0.000 0.000 0.500
Li 0.144 0.144 0.287
Li 0.289 0.289 0.569
Li 0.429 0.429 0.857
Li 0.571 0.571 0.143
Li 0.711 0.711 0.431
Li 0.856 0.856 0.713
Co 0.144 0.144 0.787
Co 0.284 0.284 0.071
Co 0.430 0.430 0.365
Co 0.570 0.570 0.635
Co 0.716 0.716 0.929
Co 0.856 0.856 0.213
O 0.061 0.061 0.389
O 0.091 0.091 0.894
O 0.201 0.201 0.685
O 0.226 0.226 0.175
O 0.341 0.341 0.965
O 0.357 0.357 0.455
O 0.484 0.484 0.250
O 0.516 0.516 0.750
O 0.643 0.643 0.545
O 0.659 0.659 0.035
O 0.774 0.774 0.825
O 0.799 0.799 0.315
O 0.909 0.909 0.106
O 0.939 0.939 0.611

---

For Li3FeP2O9, a crystal structure in the Materials Project, relaxed with GGA+U gives the simulated powder XRD pattern in this record (Cu Ka).
Kinematic intensities with the Lorentz-polarization factor, no thermal factor.

Principal peaks in the range 10° ≤ 2θ ≤ 80°, by angle:
2theta	I (rel.)
12.4	100
17.4	21
17.7	21
18.5	23
27.7	32
28.1	33
28.8	31
29.3	21

Crystal structure
a = 6.880 Å, b = 7.144 Å, c = 7.953 Å
α = 89.79°, β = 64.48°, γ = 87.69°
Fractional positions:
Li 0.000 0.000 0.000
Li 0.088 0.268 0.289
Li 0.229 0.530 0.588
Li 0.467 0.468 0.066
Li 0.688 0.071 0.525
Li 0.850 0.771 0.794
Fe 0.086 0.770 0.290
Fe 0.583 0.766 0.297
P 0.194 0.059 0.549
P 0.474 0.013 0.998
P 0.706 0.524 0.592
P 0.964 0.477 0.041
O 0.042 0.572 0.853
O 0.076 0.965 0.736
O 0.082 0.008 0.418
O 0.094 0.536 0.154
O 0.192 0.272 0.551
O 0.268 0.895 0.047
O 0.323 0.667 0.321
O 0.408 0.204 0.093
O 0.438 0.991 0.454
O 0.536 0.622 0.533
O 0.594 0.012 0.785
O 0.602 0.522 0.804
O 0.635 0.898 0.057
O 0.718 0.532 0.157
O 0.779 0.332 0.496
O 0.844 0.869 0.268
O 0.904 0.653 0.538
O 0.985 0.264 0.041

---

For Li2FePCO7, a crystal structure in the Materials Project, relaxed with GGA+U gives the simulated powder XRD pattern in this record (Cu Ka).
Kinematic intensities with the Lorentz-polarization factor, no thermal factor.

Principal peaks in the range 10° ≤ 2θ ≤ 80°, by angle:
2theta	I (rel.)
10.7	88
17.5	20
19.5	48
21.5	78
26.3	36
27.5	100
35.5	21
36.0	25

Crystal structure
a = 5.088 Å, b = 6.481 Å, c = 8.356 Å
α = 91.16°, β = 96.16°, γ = 90.44°
Fractional positions:
Li 0.208 0.270 0.101
Li 0.271 0.967 0.728
Li 0.729 0.033 0.272
Li 0.792 0.730 0.899
Fe 0.205 0.745 0.330
Fe 0.795 0.255 0.670
P 0.265 0.244 0.419
P 0.735 0.756 0.581
C 0.328 0.771 0.048
C 0.672 0.229 0.952
O 0.081 0.741 0.074
O 0.131 0.243 0.574
O 0.149 0.068 0.300
O 0.218 0.441 0.318
O 0.404 0.783 0.909
O 0.433 0.790 0.539
O 0.494 0.784 0.179
O 0.506 0.216 0.821
O 0.567 0.210 0.461
O 0.596 0.217 0.091
O 0.782 0.559 0.682
O 0.851 0.932 0.700
O 0.869 0.757 0.426
O 0.919 0.259 0.926

---

For Li4FeP2O8, a crystal structure in the Materials Project, relaxed with GGA+U gives the simulated powder XRD pattern in this record (Cu Ka).
Kinematic intensities with the Lorentz-polarization factor, no thermal factor.

Principal peaks in the range 10° ≤ 2θ ≤ 80°, by angle:
2theta	I (rel.)
16.8	39
20.9	100
25.1	47
26.9	43
35.3	36
35.4	28
36.7	27
38.7	21

Crystal structure
a = 4.791 Å, b = 5.434 Å, c = 6.176 Å
α = 95.68°, β = 94.38°, γ = 101.92°
Fractional positions:
Li 0.154 0.291 0.071
Li 0.304 0.584 0.674
Li 0.696 0.416 0.326
Li 0.846 0.709 0.929
Fe 0.000 0.000 0.500
P 0.383 0.787 0.215
P 0.617 0.213 0.785
O 0.243 0.584 0.358
O 0.262 0.697 0.976
O 0.284 0.192 0.761
O 0.314 0.051 0.292
O 0.686 0.949 0.708
O 0.716 0.808 0.239
O 0.738 0.303 0.024
O 0.757 0.416 0.642

---

Repeat the sixth record exactly.
For Li2FePCO7, a crystal structure in the Materials Project, relaxed with GGA+U gives the simulated powder XRD pattern in this record (Cu Ka).
Kinematic intensities with the Lorentz-polarization factor, no thermal factor.

Principal peaks in the range 10° ≤ 2θ ≤ 80°, by angle:
2theta	I (rel.)
10.7	88
17.5	20
19.5	48
21.5	78
26.3	36
27.5	100
35.5	21
36.0	25

Crystal structure
a = 5.088 Å, b = 6.481 Å, c = 8.356 Å
α = 91.16°, β = 96.16°, γ = 90.44°
Fractional positions:
Li 0.208 0.270 0.101
Li 0.271 0.967 0.728
Li 0.729 0.033 0.272
Li 0.792 0.730 0.899
Fe 0.205 0.745 0.330
Fe 0.795 0.255 0.670
P 0.265 0.244 0.419
P 0.735 0.756 0.581
C 0.328 0.771 0.048
C 0.672 0.229 0.952
O 0.081 0.741 0.074
O 0.131 0.243 0.574
O 0.149 0.068 0.300
O 0.218 0.441 0.318
O 0.404 0.783 0.909
O 0.433 0.790 0.539
O 0.494 0.784 0.179
O 0.506 0.216 0.821
O 0.567 0.210 0.461
O 0.596 0.217 0.091
O 0.782 0.559 0.682
O 0.851 0.932 0.700
O 0.869 0.757 0.426
O 0.919 0.259 0.926